Theoretical XRD peak list
Compound: K2LiMn2O4
Radiation: Cu Kα, 1.54184 Å
Structure: DFT lattice parameters and positions (GGA+U)

Atomic structure:
```
data_K2LiMn2O4
_cell_length_a 6.6839
_cell_length_b 3.0551
_cell_length_c 7.0065
_cell_angle_alpha 90.00
_cell_angle_beta 107.83
_cell_angle_gamma 90.00
_symmetry_space_group_name_H-M 'P 1'
_symmetry_Int_Tables_number 1
loop_
_symmetry_equiv_pos_as_xyz
'x,y,z'
loop_
_atom_site_label
_atom_site_fract_x
_atom_site_fract_y
_atom_site_fract_z
_atom_site_occupancy
K1 0.0000 0.0000 0.0000 1
K2 0.4914 0.5000 0.5062 1
Li1 0.1766 0.0000 0.6981 1
Mn1 0.5206 0.0000 0.0146 1
Mn2 0.9449 0.5000 0.4222 1
O1 0.1404 0.0000 0.4008 1
O2 0.3083 0.5000 0.8653 1
O3 0.7262 0.5000 0.1282 1
O4 0.8427 0.0000 0.5589 1
```

Top 10 peaks for 2θ = 5–70°, by angle:
d_spacing	I/Imax
5.526	55
3.335	100
3.181	51
2.778	64
2.763	58
2.239	88
1.971	42
1.798	28
1.763	26
1.463	21